[1]
The following is a calculated X-ray diffraction stick pattern of KTa3Sb5. It was derived from DFT lattice parameters and positions (GGA-PBE), using copper Kα.
Neutral-atom scattering factors, no anomalous dispersion.

The 10 most intense peaks (2θ = 10–80°), sorted by position:
2θ (°), intensity
17.7, 31
28.9, 22
30.9, 27
36.6, 39
37.2, 59
38.9, 30
40.9, 100
46.7, 27
64.4, 21
77.8, 24

Crystal structure
Cell lengths 5.789, 5.789, 9.261 Å; angles 90.00, 90.00, 120.00 degrees
Positions (direct):
K  0.000  0.000  0.000
Ta  0.000  0.500  0.500
Ta  0.500  0.000  0.500
Ta  0.500  0.500  0.500
Sb  0.000  0.000  0.500
Sb  0.333  0.667  0.243
Sb  0.333  0.667  0.757
Sb  0.667  0.333  0.243
Sb  0.667  0.333  0.757

---

[2]
The following is a calculated X-ray diffraction stick pattern of Pr3Cd3PdAu2. It was derived from DFT lattice parameters and positions (GGA-PBE), using copper Kα.
Neutral-atom scattering factors, no anomalous dispersion.

The 10 most intense peaks (2θ = 10–80°), sorted by position:
2θ (°), intensity
22.4, 13
31.6, 100
34.3, 87
34.6, 45
39.4, 48
41.3, 37
44.8, 25
57.8, 20
61.1, 26
63.3, 21

Crystal structure
Cell lengths 4.046, 7.935, 7.935 Å; angles 120.16, 90.00, 90.00 degrees
Positions (direct):
Pr  0.000  0.000  0.000
Pr  0.000  0.402  0.804
Pr  0.000  0.804  0.402
Cd  0.500  0.152  0.402
Cd  0.500  0.402  0.152
Cd  0.500  0.651  0.651
Pd  0.000  0.402  0.402
Au  0.500  0.068  0.735
Au  0.500  0.735  0.068

---

[3]
The following is a calculated X-ray diffraction stick pattern of Bi10PdS10. It was derived from DFT lattice parameters and positions (GGA-PBE), using copper Kα.
Neutral-atom scattering factors, no anomalous dispersion.

The 10 most intense peaks (2θ = 10–80°), sorted by position:
2θ (°), intensity
13.9, 57
23.4, 38
23.9, 66
27.1, 85
27.6, 100
31.1, 38
34.1, 50
42.6, 49
44.4, 48
45.3, 56

Crystal structure
Cell lengths 11.671, 12.734, 8.163 Å; angles 90.00, 90.00, 90.00 degrees
Positions (direct):
Bi  0.000  0.000  0.249
Bi  0.000  0.000  0.751
Bi  0.127  0.393  0.264
Bi  0.127  0.393  0.736
Bi  0.173  0.671  0.500
Bi  0.216  0.559  0.000
Bi  0.284  0.059  0.000
Bi  0.327  0.171  0.500
Bi  0.373  0.893  0.264
Bi  0.373  0.893  0.736
Bi  0.500  0.500  0.249
Bi  0.500  0.500  0.751
Bi  0.627  0.107  0.264
Bi  0.627  0.107  0.736
Bi  0.673  0.829  0.500
Bi  0.716  0.941  0.000
Bi  0.784  0.441  0.000
Bi  0.827  0.329  0.500
Bi  0.873  0.607  0.264
Bi  0.873  0.607  0.736
Pd  0.000  0.500  0.500
Pd  0.500  0.000  0.500
S  0.005  0.652  0.000
S  0.109  0.903  0.000
S  0.162  0.885  0.500
S  0.169  0.170  0.263
S  0.169  0.170  0.737
S  0.331  0.670  0.263
S  0.331  0.670  0.737
S  0.338  0.385  0.500
S  0.391  0.403  0.000
S  0.495  0.152  0.000
S  0.505  0.848  0.000
S  0.609  0.597  0.000
S  0.662  0.615  0.500
S  0.669  0.330  0.263
S  0.669  0.330  0.737
S  0.831  0.830  0.263
S  0.831  0.830  0.737
S  0.838  0.115  0.500
S  0.891  0.097  0.000
S  0.995  0.348  0.000

---

[4]
The following is a calculated X-ray diffraction stick pattern of Ho2ErMg. It was derived from DFT lattice parameters and positions (GGA-PBE), using copper Kα.
Neutral-atom scattering factors, no anomalous dispersion.

The 10 most intense peaks (2θ = 10–80°), sorted by position:
2θ (°), intensity
14.6, 26
29.5, 21
32.4, 36
33.7, 100
34.1, 44
44.4, 14
52.8, 18
58.6, 21
63.3, 21
63.7, 15

Crystal structure
Cell lengths 5.527, 6.934, 6.934 Å; angles 119.09, 90.00, 90.00 degrees
Positions (direct):
Ho  0.250  0.082  0.918
Ho  0.250  0.087  0.413
Ho  0.750  0.413  0.087
Ho  0.750  0.918  0.082
Er  0.250  0.588  0.915
Er  0.750  0.915  0.588
Mg  0.250  0.590  0.413
Mg  0.750  0.413  0.590

---

[5]
The following is a calculated X-ray diffraction stick pattern of KCu2AsS3. It was derived from DFT lattice parameters and positions (GGA-PBE), using copper Kα.
Neutral-atom scattering factors, no anomalous dispersion.

The 10 most intense peaks (2θ = 10–80°), sorted by position:
2θ (°), intensity
28.2, 47
29.8, 72
29.9, 95
30.9, 100
31.1, 76
31.3, 42
31.7, 82
34.7, 45
42.4, 37
50.3, 39

Crystal structure
Cell lengths 6.320, 8.951, 10.339 Å; angles 90.74, 91.34, 90.76 degrees
Positions (direct):
K  0.203  0.430  0.129
K  0.293  0.567  0.631
K  0.707  0.433  0.369
K  0.797  0.570  0.871
Cu  0.000  0.098  0.335
Cu  0.000  0.902  0.665
Cu  0.073  0.847  0.045
Cu  0.433  0.143  0.539
Cu  0.486  0.249  0.856
Cu  0.514  0.751  0.144
Cu  0.567  0.857  0.461
Cu  0.927  0.153  0.955
As  0.032  0.815  0.347
As  0.482  0.952  0.856
As  0.518  0.048  0.144
As  0.968  0.185  0.653
S  0.136  0.305  0.829
S  0.137  0.276  0.473
S  0.153  0.080  0.139
S  0.350  0.728  0.943
S  0.353  0.694  0.335
S  0.362  0.918  0.644
S  0.638  0.082  0.356
S  0.647  0.306  0.665
S  0.650  0.272  0.057
S  0.847  0.920  0.861
S  0.863  0.724  0.527
S  0.864  0.695  0.171

---

[6]
The following is a calculated X-ray diffraction stick pattern of Ta4O5. It was derived from DFT lattice parameters and positions (GGA-PBE), using copper Kα.
Neutral-atom scattering factors, no anomalous dispersion.

The 10 most intense peaks (2θ = 10–80°), sorted by position:
2θ (°), intensity
33.0, 100
37.3, 37
40.1, 19
48.4, 10
53.7, 18
55.9, 18
58.0, 5
64.5, 30
69.1, 12
79.4, 6

Crystal structure
Cell lengths 3.413, 3.413, 8.989 Å; angles 90.00, 90.00, 90.00 degrees
Positions (direct):
Ta  0.000  0.000  0.000
Ta  0.000  0.000  0.500
Ta  0.500  0.500  0.210
Ta  0.500  0.500  0.790
O  0.000  0.500  0.329
O  0.000  0.500  0.671
O  0.500  0.000  0.329
O  0.500  0.000  0.671
O  0.500  0.500  0.500

---

[7]
The following is a calculated X-ray diffraction stick pattern of Rb2HgO2. It was derived from DFT lattice parameters and positions (GGA-PBE), using copper Kα.
Neutral-atom scattering factors, no anomalous dispersion.

The 10 most intense peaks (2θ = 10–80°), sorted by position:
2θ (°), intensity
15.4, 23
21.4, 26
26.4, 18
27.5, 13
27.7, 15
30.2, 16
30.7, 100
33.1, 30
52.1, 14
59.4, 17

Crystal structure
Cell lengths 11.542, 5.912, 6.748 Å; angles 90.00, 90.00, 90.00 degrees
Positions (direct):
Rb  0.155  0.183  0.154
Rb  0.155  0.817  0.654
Rb  0.345  0.317  0.654
Rb  0.345  0.683  0.154
Rb  0.655  0.317  0.846
Rb  0.655  0.683  0.346
Rb  0.845  0.183  0.346
Rb  0.845  0.817  0.846
Hg  0.000  0.328  0.750
Hg  0.000  0.672  0.250
Hg  0.500  0.172  0.250
Hg  0.500  0.828  0.750
O  0.120  0.312  0.534
O  0.120  0.688  0.034
O  0.380  0.188  0.034
O  0.380  0.812  0.534
O  0.620  0.188  0.466
O  0.620  0.812  0.966
O  0.880  0.312  0.966
O  0.880  0.688  0.466

---

[8]
The following is a calculated X-ray diffraction stick pattern of Zr2Mo. It was derived from DFT lattice parameters and positions (GGA-PBE), using copper Kα.
Neutral-atom scattering factors, no anomalous dispersion.

The 10 most intense peaks (2θ = 10–80°), sorted by position:
2θ (°), intensity
31.5, 18
34.9, 49
35.7, 66
36.3, 90
37.8, 27
39.4, 100
50.8, 33
64.5, 16
66.6, 25
76.6, 14

Crystal structure
Cell lengths 5.029, 8.636, 5.687 Å; angles 90.00, 90.00, 90.00 degrees
Positions (direct):
Zr  0.250  0.072  0.156
Zr  0.250  0.250  0.642
Zr  0.250  0.428  0.156
Zr  0.250  0.750  0.047
Zr  0.750  0.250  0.953
Zr  0.750  0.572  0.844
Zr  0.750  0.750  0.358
Zr  0.750  0.928  0.844
Mo  0.250  0.606  0.582
Mo  0.250  0.894  0.582
Mo  0.750  0.106  0.418
Mo  0.750  0.394  0.418

---

[9]
The following is a calculated X-ray diffraction stick pattern of BeW2Au. It was derived from DFT lattice parameters and positions (GGA-PBE), using copper Kα.
Neutral-atom scattering factors, no anomalous dispersion.

The 10 most intense peaks (2θ = 10–80°), sorted by position:
2θ (°), intensity
24.7, 24
28.6, 15
40.8, 100
48.3, 12
50.6, 4
59.1, 17
65.1, 5
67.0, 6
74.4, 35
79.7, 4

Crystal structure
Cell lengths 4.418, 4.418, 4.418 Å; angles 60.00, 60.00, 60.00 degrees
Positions (direct):
Be  0.000  0.000  0.000
W  0.500  0.500  0.500
W  0.750  0.750  0.750
Au  0.250  0.250  0.250

---

[10]
The following is a calculated X-ray diffraction stick pattern of Li2H2Pd. It was derived from DFT lattice parameters and positions (GGA-PBE), using copper Kα.
Neutral-atom scattering factors, no anomalous dispersion.

The 10 most intense peaks (2θ = 10–80°), sorted by position:
2θ (°), intensity
18.7, 100
28.9, 81
32.1, 57
39.6, 30
41.5, 38
42.1, 27
45.9, 39
57.4, 14
59.8, 16
66.3, 14

Crystal structure
Cell lengths 6.543, 2.913, 9.501 Å; angles 90.00, 90.00, 90.00 degrees
Positions (direct):
Li  0.081  0.250  0.108
Li  0.166  0.250  0.424
Li  0.334  0.750  0.924
Li  0.419  0.750  0.608
Li  0.581  0.250  0.392
Li  0.666  0.250  0.076
Li  0.834  0.750  0.576
Li  0.919  0.750  0.892
H  0.112  0.250  0.909
H  0.129  0.750  0.606
H  0.371  0.250  0.106
H  0.388  0.750  0.409
H  0.612  0.250  0.591
H  0.629  0.750  0.894
H  0.871  0.250  0.394
H  0.888  0.750  0.091
Pd  0.129  0.250  0.720
Pd  0.371  0.750  0.220
Pd  0.629  0.250  0.780
Pd  0.871  0.750  0.280

---

[11]
The following is a calculated X-ray diffraction stick pattern of CsTcAgTeSe2. It was derived from DFT lattice parameters and positions (GGA-PBE), using copper Kα.
Neutral-atom scattering factors, no anomalous dispersion.

The 10 most intense peaks (2θ = 10–80°), sorted by position:
2θ (°), intensity
10.7, 100
24.9, 29
28.5, 46
30.1, 65
31.5, 59
33.4, 44
35.2, 28
37.7, 30
41.3, 35
46.6, 32

Crystal structure
Cell lengths 9.129, 3.899, 10.749 Å; angles 90.00, 114.34, 90.00 degrees
Positions (direct):
Cs  0.228  0.250  0.248
Cs  0.772  0.750  0.752
Tc  0.330  0.750  0.857
Tc  0.670  0.250  0.143
Ag  0.060  0.250  0.608
Ag  0.940  0.750  0.392
Te  0.277  0.750  0.583
Te  0.723  0.250  0.417
Se  0.145  0.250  0.872
Se  0.470  0.750  0.119
Se  0.530  0.250  0.881
Se  0.855  0.750  0.128

---

[12]
The following is a calculated X-ray diffraction stick pattern of Cu7Ag3. It was derived from DFT lattice parameters and positions (GGA-PBE), using copper Kα.
Neutral-atom scattering factors, no anomalous dispersion.

The 10 most intense peaks (2θ = 10–80°), sorted by position:
2θ (°), intensity
24.0, 3
25.2, 1
28.2, 1
30.1, 1
33.7, 2
41.2, 100
47.7, 16
48.0, 31
70.0, 19
70.2, 9

Crystal structure
Cell lengths 3.815, 9.667, 9.667 Å; angles 22.59, 90.00, 90.00 degrees
Positions (direct):
Cu  0.000  0.000  0.000
Cu  0.000  0.196  0.196
Cu  0.000  0.403  0.403
Cu  0.000  0.598  0.598
Cu  0.500  0.293  0.293
Cu  0.500  0.500  0.500
Cu  0.500  0.696  0.696
Ag  0.000  0.794  0.794
Ag  0.500  0.098  0.098
Ag  0.500  0.902  0.902